# HfAs2Pb2
Simulated X-ray powder pattern, CuKα. Input: a GGA-PBE-relaxed structure.
Lines closer than 0.1° are merged.

Main lines, by intensity (10 to 90 degrees two-theta):
- 2θ 33.32, I 100, (2 1 1)
- 2θ 38.95, I 40, (3 1 0)
- 2θ 25.54, I 34, (1 1 1)
- 2θ 55.61, I 29, (3 1 2)
- 2θ 38.08, I 26, (0 0 2)
- 2θ 30.92, I 25, (2 0 1)
- 2θ 55.33, I 18, (4 1 1)
- 2θ 27.27, I 17, (2 1 0)

Atomic structure:
```
data_HfAs2Pb2
_chemical_formula_sum 'Hf2 As4 Pb4'
_cell_length_a 7.3120
_cell_length_b 7.3120
_cell_length_c 4.7259
_cell_angle_alpha 90.00
_cell_angle_beta 90.00
_cell_angle_gamma 90.00
_space_group_name_H-M_alt 'P 1'
_space_group_IT_number 1
_space_group_name_Hall 'P 1'
loop_
_atom_site_label
_atom_site_type_symbol
_atom_site_fract_x
_atom_site_fract_y
_atom_site_fract_z
Hf1 Hf 0.0000 0.0000 0.0000
Hf2 Hf 0.5000 0.5000 0.0000
As1 As 0.1642 0.3358 0.0000
As2 As 0.3358 0.8358 0.0000
As3 As 0.6642 0.1642 0.0000
As4 As 0.8358 0.6642 0.0000
Pb1 Pb 0.1601 0.6601 0.5000
Pb2 Pb 0.3399 0.1601 0.5000
Pb3 Pb 0.6601 0.8399 0.5000
Pb4 Pb 0.8399 0.3399 0.5000
```